The following is a simulated powder diffraction line list of Nd4CoTe. It was derived from a PBE-relaxed structure, using CuKα.

Principal peaks in the range 2θ from 10° to 90°, sorted by position:
2theta  I (rel.)  (hkl)
16.92  38.3  1 1 0
24.52  34.4  1 1 -2
28.26  58.2  5 1 -1
32.65  100.0  0 2 0
32.73  43.4  6 0 -3
34.16  61.5  4 0 2

Structural model:
```
data_Nd4CoTe
_chemical_formula_sum 'Nd16 Co4 Te4'
_cell_length_a 19.3063
_cell_length_b 5.4922
_cell_length_c 9.8349
_cell_angle_alpha 90.00
_cell_angle_beta 114.83
_cell_angle_gamma 90.00
_space_group_name_H-M_alt 'C 1 2/m 1'
_space_group_IT_number 12
_space_group_name_Hall '-C 2y'
loop_
_atom_site_label
_atom_site_fract_x
_atom_site_fract_y
_atom_site_fract_z
Nd1 0.0283 0.0000 0.2041
Nd2 0.1058 0.5000 0.0332
Nd3 0.1938 0.0000 0.8976
Nd4 0.2480 0.0000 0.3230
Co1 0.1142 0.0000 0.0598
Te1 0.1646 0.0000 0.5486
```

***

The following is a simulated powder diffraction line list of Nd3Tm5. It was derived from a PBE-relaxed structure, using CuKα.

Principal peaks in the range 2θ from 10° to 90°, sorted by position:
2theta  I (rel.)  (hkl)
28.45  23.8  0 0 4
31.48  24.6  0 2 0
32.61  100.0  1 1 2
42.95  15.7  0 2 4
56.77  20.8  1 3 2
60.59  14.7  1 2 6

Structural model:
```
data_Nd3Tm5
_chemical_formula_sum 'Nd3 Tm5'
_cell_length_a 3.6156
_cell_length_b 5.6833
_cell_length_c 12.5704
_cell_angle_alpha 90.00
_cell_angle_beta 90.00
_cell_angle_gamma 90.00
_space_group_name_H-M_alt 'P m m 2'
_space_group_IT_number 25
_space_group_name_Hall 'P 2 -2'
loop_
_atom_site_label
_atom_site_fract_x
_atom_site_fract_y
_atom_site_fract_z
Nd1 0.0000 0.0000 0.0000
Nd2 0.0000 0.5000 0.1775
Nd3 0.5000 0.0000 0.2589
Tm1 0.0000 0.0000 0.5103
Tm2 0.0000 0.5000 0.6708
Tm3 0.5000 0.0000 0.7515
Tm4 0.5000 0.5000 0.4290
Tm5 0.5000 0.5000 0.9132
```

***

The following is a simulated powder diffraction line list of Ho6Er3Zr. It was derived from a PBE-relaxed structure, using CuKα.

Principal peaks in the range 2θ from 10° to 90°, sorted by position:
2theta  I (rel.)  (hkl)
28.84  52.7  1 2 2
30.96  100.0  1 3 -1
33.53  28.9  0 3 3
36.68  57.0  1 0 -4
36.90  33.5  2 0 0
65.55  39.3  1 7 3

Structural model:
```
data_Ho6Er3Zr
_chemical_formula_sum 'Ho12 Er6 Zr2'
_cell_length_a 4.8717
_cell_length_b 11.3416
_cell_length_c 11.3390
_cell_angle_alpha 90.00
_cell_angle_beta 90.06
_cell_angle_gamma 90.00
_space_group_name_H-M_alt 'P 1 21/c 1'
_space_group_IT_number 14
_space_group_name_Hall '-P 2ybc'
loop_
_atom_site_label
_atom_site_fract_x
_atom_site_fract_y
_atom_site_fract_z
Ho1 0.0004 0.1478 0.1477
Ho2 0.4994 0.0002 0.7147
Ho3 0.5000 0.2145 0.4998
Er1 0.0000 0.0000 0.5000
Er2 0.9995 0.1470 0.8530
Zr1 0.5000 0.0000 0.0000
```

***

The following is a simulated powder diffraction line list of Pr3Ga3Ge2. It was derived from a PBE-relaxed structure, using CuKα.

Principal peaks in the range 2θ from 10° to 90°, sorted by position:
2theta  I (rel.)  (hkl)
31.70  100.0  1 3 0
31.89  93.3  1 1 4
32.20  43.4  1 3 1
33.54  56.6  0 0 6
42.67  42.4  1 3 5
43.24  48.2  2 0 0

Structural model:
```
data_Pr3Ga3Ge2
_chemical_formula_sum 'Pr12 Ga12 Ge8'
_cell_length_a 4.1846
_cell_length_b 11.4708
_cell_length_c 16.0332
_cell_angle_alpha 90.00
_cell_angle_beta 90.00
_cell_angle_gamma 90.00
_space_group_name_H-M_alt 'C m c m'
_space_group_IT_number 63
_space_group_name_Hall '-C 2c 2'
loop_
_atom_site_label
_atom_site_fract_x
_atom_site_fract_y
_atom_site_fract_z
Pr1 0.0000 0.0647 0.2500
Pr2 0.0000 0.3533 0.0904
Ga1 0.0000 0.0651 0.0588
Ga2 0.0000 0.1997 0.7500
Ge1 0.0000 0.3494 0.6200
```

***

The following is a simulated powder diffraction line list of AcAg4Sn. It was derived from a PBE-relaxed structure, using CuKα.

Principal peaks in the range 2θ from 10° to 90°, sorted by position:
2theta  I (rel.)  (hkl)
30.82  40.3  2 2 0
36.31  100.0  3 1 1
37.99  27.9  2 2 2
54.81  16.6  4 2 2
58.44  33.2  5 1 1
64.21  26.0  4 4 0

Structural model:
```
data_AcAg4Sn
_chemical_formula_sum 'Ac4 Ag16 Sn4'
_cell_length_a 8.2053
_cell_length_b 8.2053
_cell_length_c 8.2053
_cell_angle_alpha 90.00
_cell_angle_beta 90.00
_cell_angle_gamma 90.00
_space_group_name_H-M_alt 'F -4 3 m'
_space_group_IT_number 216
_space_group_name_Hall 'F -4 2 3'
loop_
_atom_site_label
_atom_site_fract_x
_atom_site_fract_y
_atom_site_fract_z
Ac1 0.0000 0.0000 0.0000
Ag1 0.1247 0.1247 0.3753
Sn1 0.2500 0.2500 0.7500
```